1.
Theoretical PXRD pattern
Compound: TmSnRu2
Radiation: Cu Kα
Structure: a structure optimized by DFT (PBE)
No peak broadening, texture or thermal motion is included.

Principal peaks in the range 5° ≤ 2θ ≤ 70°, by intensity:
2θ 38.79, I = 100
2θ 56.01, I = 17
2θ 27.16, I = 3
2θ 23.46, I = 2
2θ 63.34, I = 2
2θ 47.99, I = 1
2θ 45.83, I = 1

Atomic structure:
```
TmSnRu2
1.0
0.0000 3.2835 3.2835
3.2835 0.0000 3.2835
3.2835 3.2835 0.0000
Tm Sn Ru
1 1 2
Direct
0.0000 0.0000 0.0000 Tm
0.5000 0.5000 0.5000 Sn
0.2500 0.2500 0.2500 Ru
0.7500 0.7500 0.7500 Ru
```


2.
Theoretical PXRD pattern
Compound: DyBi2C
Radiation: Cu Kα
Structure: a structure optimized by DFT (PBE)
No peak broadening, texture or thermal motion is included.

Principal peaks in the range 5° ≤ 2θ ≤ 70°, by intensity:
2θ 30.97, I = 100
2θ 36.19, I = 97
2θ 27.85, I = 77
2θ 42.63, I = 61
2θ 32.10, I = 47
2θ 32.90, I = 38
2θ 23.31, I = 36
2θ 35.32, I = 33
2θ 63.21, I = 33
2θ 24.37, I = 33
2θ 42.13, I = 28
2θ 57.94, I = 28

Atomic structure:
```
DyBi2C
1.0
11.5510 0.0000 0.0000
0.0000 11.5510 0.0000
0.0000 0.0000 5.6595
Dy Bi C
8 16 8
Direct
0.1627 0.3373 0.2500 Dy
0.1627 0.3373 0.7500 Dy
0.3373 0.8373 0.2500 Dy
0.3373 0.8373 0.7500 Dy
0.6627 0.1627 0.2500 Dy
0.6627 0.1627 0.7500 Dy
0.8373 0.6627 0.2500 Dy
0.8373 0.6627 0.7500 Dy
0.0623 0.1233 0.0000 Bi
0.1094 0.6095 0.0000 Bi
0.1095 0.6094 0.5000 Bi
0.1233 0.9377 0.5000 Bi
0.3767 0.4377 0.5000 Bi
0.3906 0.1095 0.0000 Bi
0.3905 0.1094 0.5000 Bi
0.4377 0.6233 0.0000 Bi
0.5623 0.3767 0.0000 Bi
0.6094 0.8905 0.0000 Bi
0.6095 0.8906 0.5000 Bi
0.6233 0.5623 0.5000 Bi
0.8767 0.0623 0.5000 Bi
0.8906 0.3905 0.0000 Bi
0.8905 0.3906 0.5000 Bi
0.9377 0.8767 0.0000 Bi
0.0733 0.1459 0.5000 C
0.1459 0.9267 0.0000 C
0.3541 0.4267 0.0000 C
0.4267 0.6459 0.5000 C
0.5733 0.3541 0.5000 C
0.6459 0.5733 0.0000 C
0.8541 0.0733 0.0000 C
0.9267 0.8541 0.5000 C
```


3.
Theoretical PXRD pattern
Compound: LaB2Pt2C
Radiation: Cu Kα
Structure: a structure optimized by DFT (PBE)
No peak broadening, texture or thermal motion is included.

Principal peaks in the range 5° ≤ 2θ ≤ 70°, by intensity:
2θ 36.61, I = 100
2θ 16.43, I = 35
2θ 33.22, I = 31
2θ 46.59, I = 27
2θ 58.41, I = 25
2θ 61.58, I = 23
2θ 24.27, I = 13
2θ 32.48, I = 12
2θ 47.14, I = 11
2θ 49.73, I = 9
2θ 68.01, I = 9
2θ 33.91, I = 9

Atomic structure:
```
LaB2Pt2C
1.0
-1.9494 1.9494 5.3939
1.9494 -1.9494 5.3939
1.9494 1.9494 -5.3939
La B Pt C
1 2 2 1
Direct
0.0000 0.0000 0.0000 La
0.3622 0.3622 0.0000 B
0.6378 0.6378 0.0000 B
0.2500 0.7500 0.5000 Pt
0.7500 0.2500 0.5000 Pt
0.5000 0.5000 0.0000 C
```


4.
Theoretical PXRD pattern
Compound: CeBr3
Radiation: Cu Kα
Structure: a structure optimized by DFT (PBE)
No peak broadening, texture or thermal motion is included.

Principal peaks in the range 5° ≤ 2θ ≤ 70°, by intensity:
2θ 32.59, I = 100
2θ 12.50, I = 76
2θ 29.98, I = 68
2θ 39.52, I = 63
2θ 60.87, I = 38
2θ 33.49, I = 36
2θ 38.13, I = 36
2θ 41.45, I = 25
2θ 57.58, I = 21
2θ 54.30, I = 18
2θ 25.16, I = 14
2θ 59.87, I = 12

Atomic structure:
```
CeBr3
1.0
8.1750 0.0000 0.0000
-4.0875 7.0798 0.0000
0.0000 0.0000 4.3570
Ce Br
2 6
Direct
0.3333 0.6667 0.2500 Ce
0.6667 0.3333 0.7500 Ce
0.0892 0.3897 0.7500 Br
0.3005 0.9108 0.7500 Br
0.3897 0.3005 0.2500 Br
0.6103 0.6995 0.7500 Br
0.6995 0.0892 0.2500 Br
0.9108 0.6103 0.2500 Br
```


5.
Theoretical PXRD pattern
Compound: Hg
Radiation: Cu Kα
Structure: a structure optimized by DFT (PBE)
No peak broadening, texture or thermal motion is included.

Principal peaks in the range 5° ≤ 2θ ≤ 70°, by intensity:
2θ 32.74, I = 100
2θ 29.75, I = 43
2θ 31.17, I = 34
2θ 60.84, I = 31
2θ 50.83, I = 26
2θ 37.25, I = 24
2θ 56.47, I = 22
2θ 61.79, I = 17
2θ 49.33, I = 11
2θ 28.69, I = 8
2θ 60.01, I = 6
2θ 42.87, I = 5

Atomic structure:
```
Hg
1.0
3.5927 0.0000 0.0000
-1.7963 3.1114 0.0000
0.0000 0.0000 11.4781
Hg
4
Direct
0.0000 0.0000 0.0000 Hg
0.0000 0.0000 0.5000 Hg
0.3333 0.6667 0.2500 Hg
0.6667 0.3333 0.7500 Hg
```


6.
Theoretical PXRD pattern
Compound: SeBr3
Radiation: Cu Kα
Structure: a structure optimized by DFT (PBE)
No peak broadening, texture or thermal motion is included.

Principal peaks in the range 5° ≤ 2θ ≤ 70°, by intensity:
2θ 33.52, I = 100
2θ 20.56, I = 88
2θ 45.07, I = 43
2θ 50.55, I = 30
2θ 45.64, I = 21
2θ 63.16, I = 15
2θ 63.62, I = 15
2θ 41.82, I = 13
2θ 66.53, I = 7
2θ 64.74, I = 4

Atomic structure:
```
SeBr3
1.0
-1.9877 1.9877 8.6398
1.9877 -1.9877 8.6398
1.9877 1.9877 -8.6398
Se Br
1 3
Direct
0.0000 0.0000 0.0000 Se
0.2500 0.7500 0.5000 Br
0.5000 0.5000 0.0000 Br
0.7500 0.2500 0.5000 Br
```


> Which formula does entry 1 have?

TmSnRu2